Entry 1:
For RbNpInF6, DFT lattice parameters and positions (GGA-PBE) gives the calculated powder diffractogram in this record (λ = 1.5418 Å (Cu Kα)).

Most intense lines, 2θ from 10° to 90°, by angle:
| two_theta | I/Imax | h k l |
| --- | --- | --- |
| 15.09 | 40 | 0 0 1 |
| 16.89 | 33 | 1 0 0 |
| 22.73 | 100 | 1 0 -1 |
| 26.30 | 64 | 0 2 1 |
| 31.42 | 40 | -1 2 1 |
| 35.03 | 31 | 1 0 2 |
| 43.62 | 52 | 2 1 2 |
| 44.31 | 27 | 1 1 -2 |
| 46.44 | 18 | 0 3 3 |
| 59.43 | 17 | 3 2 1 |

Crystal structure
Cell: 5.2487 6.7681 6.7827 Å, 60.07 89.99 89.98°
Space group P1 (No. 1)
Unique sites:
Rb  0.0000  0.0000  0.0000 (multiplicity 1)
Np  0.5009  0.6667  0.6666 (multiplicity 1)
In  0.4995  0.3333  0.3333 (multiplicity 1)
F  0.2777  0.3961  0.9371 (multiplicity 1)
F  0.2781  0.6670  0.3955 (multiplicity 1)
F  0.2798  0.9396  0.6664 (multiplicity 1)
F  0.7217  0.3947  0.6649 (multiplicity 1)
F  0.7234  0.9384  0.3961 (multiplicity 1)
F  0.7238  0.6652  0.9381 (multiplicity 1)



Entry 2:
For NpTlInF6, DFT lattice parameters and positions (GGA-PBE) gives the calculated powder diffractogram in this record (λ = 1.5418 Å (Cu Kα)).

Most intense lines, 2θ from 10° to 90°, by angle:
| two_theta | I/Imax | h k l |
| --- | --- | --- |
| 21.70 | 95 | 1 1 0 |
| 26.21 | 100 | 1 0 3 |
| 30.87 | 26 | 2 0 0 |
| 40.93 | 75 | 2 1 3 |
| 44.23 | 18 | 2 2 0 |
| 48.73 | 21 | 1 1 6 |
| 49.78 | 18 | 3 1 0 |
| 52.14 | 21 | 3 0 3 |
| 61.83 | 18 | 3 2 3 |
| 67.91 | 15 | 3 1 6 |

Crystal structure
Cell: 5.7925 5.7925 12.5985 Å, 90.00 90.00 90.00°
Space group P4_2nm (No. 102)
Unique sites:
Np  0.0000  0.0000  0.0000 (multiplicity 2)
Tl  0.0000  0.0000  0.6683 (multiplicity 2)
In  0.0000  0.0000  0.3469 (multiplicity 2)
F  0.1796  0.1796  0.1251 (multiplicity 4)
F  0.1818  0.1818  0.8740 (multiplicity 4)
F  0.2307  0.2307  0.4968 (multiplicity 4)